No. 1
For Np2TlCuSe4, a structure optimized by DFT (PBE) gives the computed powder XRD pattern in this record (a wavelength of 1.5418 Å).

```
16
Lattice="2.0640 -7.1396 0.0000 2.0640 7.1396 0.0000 0.0000 0.0000 14.3302" Properties=species:S:1:pos:R:3 pbc="T T T"
Np 2.0640 5.2452 8.0415
Np 2.0640 5.2452 13.4538
Np 2.0640 -5.2452 0.8764
Np 2.0640 -5.2452 6.2887
Tl 2.0640 1.5885 10.7476
Tl 2.0640 -1.5885 3.5825
Cu 2.0640 2.3079 3.5825
Cu 2.0640 -2.3079 10.7476
Se 2.0640 6.1784 10.7476
Se 2.0640 3.7699 1.6027
Se 2.0640 3.7699 5.5624
Se 2.0640 0.0000 0.0000
Se 2.0640 0.0000 7.1651
Se 2.0640 -3.7699 8.7678
Se 2.0640 -3.7699 12.7275
Se 2.0640 -6.1784 3.5825
```

Principal peaks in the range 10 to 90 degrees two-theta, most intense first:
- 31.28 deg, intensity 1000
- 22.40 deg, intensity 893
- 29.31 deg, intensity 808
- 42.89 deg, intensity 713
- 38.78 deg, intensity 498
- 24.92 deg, intensity 439
- 25.68 deg, intensity 375
- 43.87 deg, intensity 368
- 42.44 deg, intensity 340
- 33.70 deg, intensity 296

No. 2
For Ti3Re5, a structure optimized by DFT (PBE) gives the computed powder XRD pattern in this record (a wavelength of 1.5418 Å).

```
16
Lattice="6.2243 0.0000 0.0000 0.0000 6.2243 0.0000 0.0000 0.0000 6.2243" Properties=species:S:1:pos:R:3 pbc="T T T"
Ti 0.0000 0.0000 3.1121
Ti 0.0000 3.1121 0.0000
Ti 0.0000 3.1121 3.1121
Ti 3.1121 0.0000 0.0000
Ti 3.1121 0.0000 3.1121
Ti 3.1121 3.1121 0.0000
Re 0.0000 0.0000 0.0000
Re 1.5561 1.5561 1.5561
Re 1.5561 1.5561 4.6682
Re 1.5561 4.6682 1.5561
Re 1.5561 4.6682 4.6682
Re 3.1121 3.1121 3.1121
Re 4.6682 1.5561 1.5561
Re 4.6682 1.5561 4.6682
Re 4.6682 4.6682 1.5561
Re 4.6682 4.6682 4.6682
```

Principal peaks in the range 10 to 90 degrees two-theta, most intense first:
- 41.01 deg, intensity 1000
- 74.71 deg, intensity 341
- 28.68 deg, intensity 190
- 59.40 deg, intensity 168
- 88.96 deg, intensity 113
- 20.18 deg, intensity 97
- 67.27 deg, intensity 75
- 50.81 deg, intensity 56
- 35.32 deg, intensity 50
- 55.22 deg, intensity 30

No. 3
For RbTiS3, a structure optimized by DFT (PBE) gives the computed powder XRD pattern in this record (a wavelength of 1.5418 Å).

```
20
Lattice="6.9630 -6.6842 0.0000 6.9630 6.6842 0.0000 0.0000 0.0000 6.2257" Properties=species:S:1:pos:R:3 pbc="T T T"
Rb 3.4815 1.3701 1.5564
Rb 3.4815 -1.3701 4.6693
Rb 10.4445 1.3701 1.5564
Rb 10.4445 -1.3701 4.6693
Ti 6.9630 3.8615 2.8117
Ti 6.9630 2.8228 5.9245
Ti 6.9630 -2.8228 0.3012
Ti 6.9630 -3.8615 3.4141
S 6.9630 5.9842 3.8884
S 5.3607 3.9361 1.0180
S 5.3607 2.7482 4.1309
S 8.5653 3.9361 1.0180
S 8.5653 2.7482 4.1309
S 6.9630 0.7001 0.7755
S 6.9630 -0.7001 5.4502
S 5.3607 -2.7482 2.0949
S 5.3607 -3.9361 5.2078
S 8.5653 -2.7482 2.0949
S 8.5653 -3.9361 5.2078
S 6.9630 -5.9842 2.3373
```

Principal peaks in the range 10 to 90 degrees two-theta, most intense first:
- 23.33 deg, intensity 1000
- 32.36 deg, intensity 1000
- 30.35 deg, intensity 729
- 31.48 deg, intensity 556
- 29.65 deg, intensity 551
- 47.71 deg, intensity 508
- 19.48 deg, intensity 434
- 13.25 deg, intensity 428
- 25.59 deg, intensity 336
- 18.40 deg, intensity 312

No. 4
For CaPm3Bi3, a structure optimized by DFT (PBE) gives the computed powder XRD pattern in this record (a wavelength of 1.5418 Å).

```
14
Lattice="4.7056 2.7168 6.4197 -4.7056 2.7168 6.4197 0.0000 -5.4336 6.4197" Properties=species:S:1:pos:R:3 pbc="T T T"
Ca 0.0000 0.0000 3.2189
Ca 0.0000 0.0000 16.0404
Pm -1.2094 -2.1612 7.9867
Pm -2.4763 -0.0332 11.2725
Pm -1.2669 2.1280 7.9867
Pm 1.2669 -2.1280 11.2725
Pm 2.4763 0.0332 7.9867
Pm 1.2094 2.1612 11.2725
Bi -3.6169 -0.0403 8.0547
Bi -1.7735 -3.1525 11.2046
Bi 1.8434 -3.1122 8.0547
Bi -1.8434 3.1122 11.2046
Bi 1.7735 3.1525 8.0547
Bi 3.6169 0.0403 11.2046
```

Principal peaks in the range 10 to 90 degrees two-theta, most intense first:
- 18.86 deg, intensity 1000
- 27.79 deg, intensity 815
- 32.97 deg, intensity 758
- 33.80 deg, intensity 711
- 30.47 deg, intensity 674
- 43.65 deg, intensity 556
- 34.57 deg, intensity 470
- 29.36 deg, intensity 418
- 47.95 deg, intensity 320
- 60.95 deg, intensity 220